For TlPb2Au9, a structure optimized by DFT (PBE) gives the simulated powder XRD pattern in this record (a wavelength of 1.5418 Å).
Intensities are scaled so that the largest is 100.

Atomic structure:
abc: 5.8107 5.8107 18.0884
angles: 90.00 90.00 120.00
Positions (direct):
Tl (0.3333, 0.6667, 0.2500)
Tl (0.6667, 0.3333, 0.7500)
Pb (0.3333, 0.6667, 0.0397)
Pb (0.3333, 0.6667, 0.4603)
Pb (0.6667, 0.3333, 0.5397)
Pb (0.6667, 0.3333, 0.9603)
Au (0.0000, 0.0000, 0.0000)
Au (0.0000, 0.0000, 0.2500)
Au (0.0000, 0.0000, 0.5000)
Au (0.0000, 0.0000, 0.7500)
Au (0.1694, 0.3389, 0.6223)
Au (0.1694, 0.3389, 0.8777)
Au (0.1694, 0.8306, 0.6223)
Au (0.1694, 0.8306, 0.8777)
Au (0.3333, 0.6667, 0.7500)
Au (0.3389, 0.1694, 0.1223)
Au (0.3389, 0.1694, 0.3777)
Au (0.6611, 0.8306, 0.6223)
Au (0.6611, 0.8306, 0.8777)
Au (0.6667, 0.3333, 0.2500)
Au (0.8306, 0.1694, 0.1223)
Au (0.8306, 0.1694, 0.3777)
Au (0.8306, 0.6611, 0.1223)
Au (0.8306, 0.6611, 0.3777)

Principal peaks in the range 2θ from 10° to 80°, sorted by position:
30.43 deg, I = 27
30.78 deg, I = 26
36.04 deg, I = 34
36.77 deg, I = 100
38.78 deg, I = 44
39.87 deg, I = 22
58.73 deg, I = 37
64.10 deg, I = 29

***

For YPb2Au2, a structure optimized by DFT (PBE) gives the simulated powder XRD pattern in this record (a wavelength of 1.5418 Å).
Intensities are scaled so that the largest is 100.

Atomic structure:
abc: 4.4399 4.4399 13.3149
angles: 90.00 90.00 90.00
Positions (direct):
Y (0.0000, 0.0000, 0.0000)
Y (0.5000, 0.5000, 0.5000)
Pb (0.0000, 0.5000, 0.2500)
Pb (0.0000, 0.5000, 0.7500)
Pb (0.5000, 0.0000, 0.2500)
Pb (0.5000, 0.0000, 0.7500)
Au (0.0000, 0.0000, 0.4010)
Au (0.0000, 0.0000, 0.5990)
Au (0.5000, 0.5000, 0.0990)
Au (0.5000, 0.5000, 0.9010)

Principal peaks in the range 2θ from 10° to 80°, sorted by position:
21.09 deg, I = 35
31.51 deg, I = 100
39.46 deg, I = 89
40.64 deg, I = 65
57.93 deg, I = 22
58.83 deg, I = 37
68.27 deg, I = 25
73.16 deg, I = 25

***

For ZnPb2Au7, a structure optimized by DFT (PBE) gives the simulated powder XRD pattern in this record (a wavelength of 1.5418 Å).
Intensities are scaled so that the largest is 100.

Atomic structure:
abc: 3.9592 3.9592 13.7657
angles: 90.00 90.00 90.00
Positions (direct):
Zn (0.0000, 0.0000, 0.0000)
Pb (0.0000, 0.5000, 0.7499)
Pb (0.5000, 0.0000, 0.2501)
Au (0.0000, 0.0000, 0.5000)
Au (0.0000, 0.5000, 0.1440)
Au (0.0000, 0.5000, 0.3477)
Au (0.5000, 0.0000, 0.6523)
Au (0.5000, 0.0000, 0.8560)
Au (0.5000, 0.5000, 0.0000)
Au (0.5000, 0.5000, 0.5000)

Principal peaks in the range 2θ from 10° to 80°, sorted by position:
29.81 deg, I = 41
34.59 deg, I = 100
39.88 deg, I = 57
41.58 deg, I = 30
45.84 deg, I = 47
62.35 deg, I = 31
77.23 deg, I = 20
77.49 deg, I = 20

***

For Zn2PbAu6, a structure optimized by DFT (PBE) gives the simulated powder XRD pattern in this record (a wavelength of 1.5418 Å).
Intensities are scaled so that the largest is 100.

Atomic structure:
abc: 8.3052 8.3052 8.3052
angles: 60.00 60.00 60.00
Positions (direct):
Zn (0.0000, 0.0000, 0.0000)
Zn (0.0000, 0.0000, 0.5000)
Zn (0.0000, 0.5000, 0.0000)
Zn (0.5000, 0.0000, 0.0000)
Pb (0.3750, 0.3750, 0.3750)
Pb (0.6250, 0.6250, 0.6250)
Au (0.1301, 0.1301, 0.6199)
Au (0.1301, 0.6199, 0.1301)
Au (0.1301, 0.6199, 0.6199)
Au (0.3801, 0.3801, 0.8699)
Au (0.3801, 0.8699, 0.3801)
Au (0.3801, 0.8699, 0.8699)
Au (0.6199, 0.1301, 0.1301)
Au (0.6199, 0.1301, 0.6199)
Au (0.6199, 0.6199, 0.1301)
Au (0.8699, 0.3801, 0.3801)
Au (0.8699, 0.3801, 0.8699)
Au (0.8699, 0.8699, 0.3801)

Principal peaks in the range 2θ from 10° to 80°, sorted by position:
21.40 deg, I = 9
25.15 deg, I = 16
30.44 deg, I = 87
39.88 deg, I = 9
43.59 deg, I = 100
54.10 deg, I = 24
63.35 deg, I = 16
71.90 deg, I = 31

***

For Zn4PbAu8, a structure optimized by DFT (PBE) gives the simulated powder XRD pattern in this record (a wavelength of 1.5418 Å).
Intensities are scaled so that the largest is 100.

Atomic structure:
abc: 7.1131 7.1131 7.1131
angles: 98.63 98.63 134.41
Positions (direct):
Zn (0.0000, 0.0000, 0.5000)
Zn (0.0000, 0.5000, 0.0000)
Zn (0.5000, 0.0000, 0.0000)
Zn (0.5000, 0.5000, 0.5000)
Pb (0.0000, 0.0000, 0.0000)
Au (0.0000, 0.3378, 0.3378)
Au (0.0000, 0.6622, 0.6622)
Au (0.2787, 0.5000, 0.7787)
Au (0.3378, 0.0000, 0.3378)
Au (0.5000, 0.2787, 0.7787)
Au (0.5000, 0.7213, 0.2213)
Au (0.6622, 0.0000, 0.6622)
Au (0.7213, 0.5000, 0.2213)

Principal peaks in the range 2θ from 10° to 80°, sorted by position:
32.49 deg, I = 45
33.23 deg, I = 49
37.98 deg, I = 28
38.63 deg, I = 100
38.84 deg, I = 45
42.87 deg, I = 52
43.45 deg, I = 27
70.19 deg, I = 34

***

For Zn6PbAu6, a structure optimized by DFT (PBE) gives the simulated powder XRD pattern in this record (a wavelength of 1.5418 Å).
Intensities are scaled so that the largest is 100.

Atomic structure:
abc: 7.0939 7.0939 7.0939
angles: 136.42 99.99 95.86
Positions (direct):
Zn (0.0000, 0.0000, 0.5000)
Zn (0.0000, 0.5000, 0.0000)
Zn (0.2383, 0.0000, 0.2383)
Zn (0.5000, 0.0000, 0.0000)
Zn (0.5000, 0.5000, 0.5000)
Zn (0.7617, 0.0000, 0.7617)
Pb (0.0000, 0.5000, 0.5000)
Au (0.1842, 0.1842, 0.0000)
Au (0.3408, 0.5000, 0.8408)
Au (0.3458, 0.8458, 0.5000)
Au (0.6542, 0.1542, 0.5000)
Au (0.6592, 0.5000, 0.1592)
Au (0.8158, 0.8158, 0.0000)

Principal peaks in the range 2θ from 10° to 80°, sorted by position:
32.99 deg, I = 100
34.05 deg, I = 73
38.59 deg, I = 79
39.11 deg, I = 65
39.52 deg, I = 68
44.04 deg, I = 50
71.07 deg, I = 33
71.69 deg, I = 31

***

For ZnPbAu4, a structure optimized by DFT (PBE) gives the simulated powder XRD pattern in this record (a wavelength of 1.5418 Å).
Intensities are scaled so that the largest is 100.

Atomic structure:
abc: 3.9810 3.9810 8.3347
angles: 90.00 90.00 90.00
Positions (direct):
Zn (0.0000, 0.0000, 0.0000)
Pb (0.5000, 0.5000, 0.5000)
Au (0.0000, 0.5000, 0.2151)
Au (0.0000, 0.5000, 0.7849)
Au (0.5000, 0.0000, 0.2151)
Au (0.5000, 0.0000, 0.7849)

Principal peaks in the range 2θ from 10° to 80°, sorted by position:
21.32 deg, I = 22
24.78 deg, I = 24
31.79 deg, I = 23
32.22 deg, I = 16
38.60 deg, I = 100
45.57 deg, I = 36
65.02 deg, I = 16
79.54 deg, I = 25

***

For Zr6PbAu, a structure optimized by DFT (PBE) gives the simulated powder XRD pattern in this record (a wavelength of 1.5418 Å).
Intensities are scaled so that the largest is 100.

Atomic structure:
abc: 5.1597 5.1597 13.4507
angles: 90.00 90.00 90.00
Positions (direct):
Zr (0.0000, 0.0000, 0.2492)
Zr (0.0000, 0.0000, 0.7508)
Zr (0.0000, 0.5000, 0.1236)
Zr (0.0000, 0.5000, 0.3764)
Zr (0.0000, 0.5000, 0.6236)
Zr (0.0000, 0.5000, 0.8764)
Zr (0.5000, 0.0000, 0.1236)
Zr (0.5000, 0.0000, 0.3764)
Zr (0.5000, 0.0000, 0.6236)
Zr (0.5000, 0.0000, 0.8764)
Zr (0.5000, 0.5000, 0.2508)
Zr (0.5000, 0.5000, 0.7492)
Pb (0.0000, 0.0000, 0.5000)
Pb (0.5000, 0.5000, 0.0000)
Au (0.0000, 0.0000, 0.0000)
Au (0.5000, 0.5000, 0.5000)

Principal peaks in the range 2θ from 10° to 80°, sorted by position:
13.16 deg, I = 13
27.82 deg, I = 9
34.77 deg, I = 56
36.33 deg, I = 100
50.00 deg, I = 20
63.36 deg, I = 39
66.36 deg, I = 17
77.15 deg, I = 11

***

For Pd2Au7, a structure optimized by DFT (PBE) gives the simulated powder XRD pattern in this record (a wavelength of 1.5418 Å).
Intensities are scaled so that the largest is 100.

Atomic structure:
abc: 5.0414 5.0414 7.1258
angles: 90.00 90.00 120.00
Positions (direct):
Pd (0.3333, 0.6667, 0.0000)
Pd (0.6667, 0.3333, 0.0000)
Au (0.0000, 0.0000, 0.0000)
Au (0.0000, 0.3356, 0.6708)
Au (0.0000, 0.6644, 0.3292)
Au (0.3356, 0.0000, 0.6708)
Au (0.3356, 0.3356, 0.3292)
Au (0.6644, 0.0000, 0.3292)
Au (0.6644, 0.6644, 0.6708)

Principal peaks in the range 2θ from 10° to 80°, sorted by position:
12.42 deg, I = 3
23.90 deg, I = 2
24.99 deg, I = 1
35.62 deg, I = 1
37.86 deg, I = 100
44.00 deg, I = 49
63.99 deg, I = 33
76.82 deg, I = 39

***

For Pd5Au2, a structure optimized by DFT (PBE) gives the simulated powder XRD pattern in this record (a wavelength of 1.5418 Å).
Intensities are scaled so that the largest is 100.

Atomic structure:
abc: 7.5479 7.5479 7.5479
angles: 125.83 71.83 136.58
Positions (direct):
Pd (0.0239, 0.2500, 0.7739)
Pd (0.1166, 0.7089, 0.8255)
Pd (0.2500, 0.2500, 0.0000)
Pd (0.3834, 0.2089, 0.5923)
Pd (0.4761, 0.2500, 0.2261)
Pd (0.5239, 0.7500, 0.7739)
Pd (0.6166, 0.7911, 0.4077)
Pd (0.7500, 0.7500, 0.0000)
Pd (0.8834, 0.2911, 0.1745)
Pd (0.9761, 0.7500, 0.2261)
Au (0.1098, 0.3026, 0.4123)
Au (0.3902, 0.8026, 0.1928)
Au (0.6098, 0.1974, 0.8072)
Au (0.8902, 0.6974, 0.5877)

Principal peaks in the range 2θ from 10° to 80°, sorted by position:
25.19 deg, I = 26
35.47 deg, I = 36
39.10 deg, I = 32
39.46 deg, I = 99
40.04 deg, I = 43
41.68 deg, I = 100
43.92 deg, I = 95
65.02 deg, I = 39

***

For PdAu, a structure optimized by DFT (PBE) gives the simulated powder XRD pattern in this record (a wavelength of 1.5418 Å).
Intensities are scaled so that the largest is 100.

Atomic structure:
abc: 9.5257 2.8832 4.9327
angles: 90.00 100.33 90.00
Positions (direct):
Pd (0.1266, 0.0000, 0.3742)
Pd (0.3734, 0.5000, 0.6258)
Pd (0.6266, 0.5000, 0.3742)
Pd (0.8734, 0.0000, 0.6258)
Au (0.1232, 0.5000, 0.8681)
Au (0.3768, 0.0000, 0.1319)
Au (0.6232, 0.0000, 0.8681)
Au (0.8768, 0.5000, 0.1319)

Principal peaks in the range 2θ from 10° to 80°, sorted by position:
38.41 deg, I = 100
38.60 deg, I = 33
44.53 deg, I = 44
45.05 deg, I = 21
65.09 deg, I = 14
65.33 deg, I = 14
77.79 deg, I = 9
77.92 deg, I = 17

***

For Pd2Au5, a structure optimized by DFT (PBE) gives the simulated powder XRD pattern in this record (a wavelength of 1.5418 Å).
Intensities are scaled so that the largest is 100.

Atomic structure:
abc: 6.9807 6.9807 7.4655
angles: 91.56 91.56 41.65
Positions (direct):
Pd (0.1011, 0.7567, 0.8931)
Pd (0.2433, 0.8989, 0.6069)
Pd (0.7567, 0.1011, 0.3931)
Pd (0.8989, 0.2433, 0.1069)
Au (0.0471, 0.3808, 0.8217)
Au (0.1881, 0.5330, 0.5372)
Au (0.3242, 0.6758, 0.2500)
Au (0.3808, 0.0471, 0.3217)
Au (0.4670, 0.8119, 0.9628)
Au (0.5330, 0.1881, 0.0372)
Au (0.6192, 0.9529, 0.6783)
Au (0.6758, 0.3242, 0.7500)
Au (0.8119, 0.4670, 0.4628)
Au (0.9529, 0.6192, 0.1783)

Principal peaks in the range 2θ from 10° to 80°, sorted by position:
36.12 deg, I = 42
36.19 deg, I = 27
37.14 deg, I = 82
40.60 deg, I = 100
40.86 deg, I = 89
40.99 deg, I = 98
65.05 deg, I = 32
79.82 deg, I = 29